Structure and calculated powder diffraction line list of Li3V4P6O24 (a crystal structure in the Materials Project, relaxed with GGA+U; Cu Kα (λ = 1.5418 Å)).

Cell and atoms:
```
data_Li3V4P6O24
_chemical_formula_sum 'Li3 V4 P6 O24'
_space_group_name_H-M_alt 'P -1'
_space_group_IT_number 2
_space_group_name_Hall '-P 1'
_cell_length_a 6.411
_cell_length_b 8.470
_cell_length_c 8.739
_cell_angle_alpha 91.83
_cell_angle_beta 107.15
_cell_angle_gamma 105.97
loop_
_atom_site_label
_atom_site_fract_x
_atom_site_fract_y
_atom_site_fract_z
Li1 0.000 0.000 0.000
Li2 0.250 0.783 0.200
V1 0.132 0.869 0.560
V2 0.369 0.445 0.121
P1 0.121 0.641 0.850
P2 0.249 0.208 0.785
P3 0.354 0.147 0.350
O1 0.030 0.233 0.659
O2 0.103 0.497 0.163
O3 0.116 0.686 0.677
O4 0.170 0.791 0.966
O5 0.182 0.104 0.453
O6 0.232 0.233 0.955
O7 0.253 0.027 0.747
O8 0.266 0.018 0.206
O9 0.318 0.552 0.908
O10 0.378 0.324 0.301
O11 0.409 0.849 0.530
O12 0.471 0.326 0.768
```

The 8 most intense peaks (2θ from 5° to 70°), by intensity:
Position (°2θ), I_rel, index
16.2, 100, 0 1 1
29.0, 37, 2 0 -1
14.3, 37, 0 1 -1
29.2, 28, 2 -1 0
32.8, 22, 0 2 2
15.8, 15, 1 -1 0
33.0, 14, 0 1 -3
33.7, 13, 0 3 -1